Starting from a cell relaxed with GGA-PBE, the powder XRD pattern of Ag3SI2 was simulated for Cu Kα.

Peak list (10 most intense, 10° ≤ 2θ ≤ 90°, sorted by position)
| (hkl) | 2theta | d_spacing | intensity |
| --- | --- | --- | --- |
| 1 1 1 | 20.61 | 4.309 | 87 |
| 0 2 0 | 22.97 | 3.872 | 94 |
| 2 2 0 | 27.82 | 3.207 | 50 |
| 3 1 -2 | 28.94 | 3.085 | 33 |
| 4 0 -2 | 31.26 | 2.862 | 100 |
| 0 2 2 | 34.20 | 2.622 | 38 |
| 2 0 2 | 34.59 | 2.593 | 83 |
| 1 3 1 | 38.99 | 2.310 | 44 |
| 4 2 -2 | 39.15 | 2.301 | 56 |
| 2 2 2 | 41.93 | 2.154 | 40 |

Atomic structure:
```
data_Ag3SI2
_cell_length_a 12.497
_cell_length_b 7.743
_cell_length_c 7.781
_cell_angle_alpha 90.00
_cell_angle_beta 113.69
_cell_angle_gamma 90.00
_space_group_name_H-M_alt 'C 1 2/c 1'
_space_group_IT_number 15
loop_
_space_group_symop_operation_xyz
'x,y,z'
'-x,-y,-z'
'-x,y,-z+1/2'
'x,-y,z+1/2'
'x+1/2,y+1/2,z'
'-x+1/2,-y+1/2,-z'
'-x+1/2,y+1/2,-z+1/2'
'x+1/2,-y+1/2,z+1/2'
loop_
_atom_site_label
_atom_site_type_symbol
_atom_site_fract_x
_atom_site_fract_y
_atom_site_fract_z
Ag1 Ag 0.000 0.170 0.250
Ag2 Ag 0.145 0.442 0.088
S1 S 0.000 0.491 0.250
I1 I 0.171 0.029 0.054
```